Computed PXRD pattern
Compound: Ba3Fe2TeO9
Radiation: Cu Ka
Structure: the GGA+U geometry in Alexandria
Peak positions follow from Bragg's law for the DFT cell and can differ from measured ones.

Structural model:
Unit cell a=5.861 b=5.861 c=14.444 alpha=90.00 beta=90.00 gamma=120.00
Element x y z (fractional)
Ba: 0.000 0.000 0.000
Ba: 0.000 0.000 0.500
Ba: 0.333 0.667 0.152
Ba: 0.333 0.667 0.833
Ba: 0.667 0.333 0.333
Ba: 0.667 0.333 0.652
Fe: 0.000 0.000 0.238
Fe: 0.000 0.000 0.738
Fe: 0.333 0.667 0.602
Fe: 0.667 0.333 0.102
Te: 0.333 0.667 0.405
Te: 0.667 0.333 0.905
O: 0.032 0.516 0.491
O: 0.165 0.329 0.667
O: 0.165 0.835 0.667
O: 0.173 0.345 0.331
O: 0.173 0.827 0.331
O: 0.329 0.165 0.167
O: 0.345 0.173 0.831
O: 0.484 0.516 0.491
O: 0.484 0.968 0.491
O: 0.516 0.032 0.991
O: 0.516 0.484 0.991
O: 0.655 0.827 0.331
O: 0.671 0.835 0.667
O: 0.827 0.173 0.831
O: 0.827 0.655 0.831
O: 0.835 0.165 0.167
O: 0.835 0.671 0.167
O: 0.968 0.484 0.991

Top 6 peaks for 2θ from 10° to 80°, by angle:
two_theta	I/Imax	(hkl)
25.5	30	1 0 3
30.4	59	1 0 4
30.5	100	1 1 0
40.2	22	2 0 3
43.6	36	2 0 4
54.2	42	3 0 0